Entry 1:
For Pu2ScU3P6, the PBE geometry in Alexandria gives the calculated powder X-ray diffraction pattern in this record (a wavelength of 1.5418 Å).
No peak broadening, texture or thermal motion is included.

Peak list (10 most intense, 2θ from 10° to 80°, most intense first)
hkl	two_theta	intensity
1 3 1	32.30	1000
2 0 0	27.97	759
2 0 2	46.10	374
0 6 0	46.57	363
0 0 2	27.60	281
3 3 1	55.00	251
4 0 0	57.81	193
3 3 3	76.58	177
4 6 0	77.28	171
1 3 3	54.58	132

Structural model:
Cell: 6.756 11.700 6.845 Å, 90.00 109.23 90.00°
Space group C2/m (No. 12)
Asymmetric unit:
Pu: 0.000 0.166 0.000 x4
Sc: 0.000 0.500 0.000 x2
U: 0.000 0.000 0.500 x2
U: 0.000 0.332 0.500 x4
P: 0.243 0.500 0.749 x4
P: 0.246 0.337 0.249 x8

Entry 2:
For LaGa4Au6, the PBE geometry in Alexandria gives the calculated powder X-ray diffraction pattern in this record (a wavelength of 1.5418 Å).
No peak broadening, texture or thermal motion is included.

Peak list (10 most intense, 2θ from 10° to 80°, most intense first)
hkl	two_theta	intensity
2 0 1	34.46	1000
2 1 1	42.26	395
0 0 2	41.49	264
2 1 0	36.60	232
2 2 0	48.55	188
3 0 0	41.72	184
1 0 1	24.62	171
2 2 2	65.73	151
2 3 1	66.30	139
5 0 1	76.53	136

Structural model:
Cell: 7.5001 7.5001 4.3528 Å, 90.00 90.00 120.00°
Space group P-6 (No. 174)
Asymmetric unit:
La: 0.0000 0.0000 0.0000 x1
Ga: 0.1990 0.7999 0.5000 x3
Ga: 0.6667 0.3333 0.0000 x1
Au: 0.0714 0.5341 0.0000 x3
Au: 0.3926 0.1962 0.5000 x3

Entry 3:
For CaLa4Sm8, the PBE geometry in Alexandria gives the calculated powder X-ray diffraction pattern in this record (a wavelength of 1.5418 Å).
No peak broadening, texture or thermal motion is included.

Peak list (10 most intense, 2θ from 10° to 80°, most intense first)
hkl	two_theta	intensity
2 3 1	29.69	1000
5 1 0	34.48	334
7 4 1	58.84	282
5 1 2	49.41	241
0 0 2	34.28	171
2 3 3	58.58	146
4 6 2	61.64	123
4 6 0	49.56	119
10 2 0	72.70	37
0 0 4	72.24	20

Structural model:
Cell: 13.264 13.264 5.231 Å, 90.00 90.00 90.00°
Space group I4/m (No. 87)
Asymmetric unit:
Ca: 0.000 0.000 0.000 x2
La: 0.156 0.233 0.000 x8
Sm: 0.038 0.802 0.500 x8
Sm: 0.077 0.614 0.000 x8

Entry 4:
For Nd14HoSc, the PBE geometry in Alexandria gives the calculated powder X-ray diffraction pattern in this record (a wavelength of 1.5418 Å).
No peak broadening, texture or thermal motion is included.

Peak list (10 most intense, 2θ from 10° to 80°, most intense first)
hkl	two_theta	intensity
2 0 2	30.02	1000
2 2 0	34.81	506
4 2 2	59.47	428
4 0 0	50.05	360
4 0 4	62.40	123
4 4 0	73.43	38
0 0 8	73.58	18
1 0 1	14.88	14
1 0 3	28.72	9
1 0 0	12.13	8

Structural model:
Cell: 7.294 7.294 10.298 Å, 90.00 90.00 90.00°
Space group P4/mmm (No. 123)
Asymmetric unit:
Nd: 0.000 0.000 0.000 x1
Nd: 0.000 0.500 0.000 x2
Nd: 0.000 0.500 0.500 x2
Nd: 0.248 0.248 0.255 x8
Nd: 0.500 0.500 0.000 x1
Ho: 0.500 0.500 0.500 x1
Sc: 0.000 0.000 0.500 x1

Entry 5:
For Cs2PdI5, the PBE geometry in Alexandria gives the calculated powder X-ray diffraction pattern in this record (a wavelength of 1.5418 Å).
No peak broadening, texture or thermal motion is included.

Peak list (10 most intense, 2θ from 10° to 80°, most intense first)
hkl	two_theta	intensity
2 0 2	26.87	1000
2 2 0	30.06	539
1 0 1	13.34	370
2 2 4	45.34	336
4 2 2	51.47	258
4 0 4	55.35	206
0 0 4	33.14	205
4 0 0	43.04	180
1 1 2	22.23	174
3 2 1	39.54	118

Structural model:
Cell: 8.407 8.407 10.813 Å, 90.00 90.00 90.00°
Space group I4mm (No. 107)
Asymmetric unit:
Cs: 0.000 0.500 0.000 x4
Pd: 0.000 0.000 0.225 x2
I: 0.000 0.000 0.967 x2
I: 0.226 0.226 0.252 x8

Entry 6:
For NdWN2, the PBE geometry in Alexandria gives the calculated powder X-ray diffraction pattern in this record (a wavelength of 1.5418 Å).
No peak broadening, texture or thermal motion is included.

Peak list (10 most intense, 2θ from 10° to 80°, most intense first)
hkl	two_theta	intensity
1 1 2	35.24	1000
2 0 1	31.47	206
3 1 1	54.98	206
0 0 4	33.30	199
2 0 0	30.33	166
2 0 3	39.57	164
1 0 1	17.15	137
1 1 1	32.06	121
0 2 0	55.39	107
2 0 4	45.65	100

Structural model:
Cell: 5.894 3.318 10.763 Å, 90.00 90.00 90.00°
Space group Pnma (No. 62)
Asymmetric unit:
Nd: 0.079 0.250 0.144 x4
W: 0.062 0.750 0.406 x4
N: 0.164 0.250 0.746 x4
N: 0.244 0.250 0.488 x4

Entry 7:
For Te3Pb4S, the PBE geometry in Alexandria gives the calculated powder X-ray diffraction pattern in this record (a wavelength of 1.5418 Å).
No peak broadening, texture or thermal motion is included.

Peak list (10 most intense, 2θ from 10° to 80°, most intense first)
hkl	two_theta	intensity
2 1 0	19.57	1000
2 3 0	32.56	981
2 3 2	42.88	869
0 0 2	27.14	804
2 1 2	33.68	495
0 2 0	18.14	449
4 0 0	35.06	414
2 1 1	23.84	409
4 0 2	44.89	392
2 3 4	66.26	200

Structural model:
Cell: 10.237 9.783 6.572 Å, 90.00 90.00 90.00°
Space group Pmn2_1 (No. 31)
Asymmetric unit:
Te: 0.000 0.148 0.000 x2
Te: 0.236 0.343 0.500 x4
Pb: 0.000 0.140 0.514 x2
Pb: 0.000 0.825 0.057 x2
Pb: 0.236 0.675 0.514 x4
S: 0.000 0.825 0.480 x2

Entry 8:
For Th4CdGa12, the PBE geometry in Alexandria gives the calculated powder X-ray diffraction pattern in this record (a wavelength of 1.5418 Å).
No peak broadening, texture or thermal motion is included.

Peak list (10 most intense, 2θ from 10° to 80°, most intense first)
hkl	two_theta	intensity
2 2 2	34.72	1000
2 2 0	28.20	747
4 0 0	40.31	650
4 4 0	58.33	358
6 2 2	69.70	293
4 2 0	45.32	235
2 0 0	19.84	233
6 2 0	66.03	226
4 2 2	49.92	206
4 4 2	62.24	157

Structural model:
Cell: 8.949 8.949 8.949 Å, 90.00 90.00 90.00°
Space group Im-3m (No. 229)
Asymmetric unit:
Th: 0.250 0.250 0.250 x8
Cd: 0.000 0.000 0.000 x2
Ga: 0.000 0.000 0.319 x12
Ga: 0.000 0.250 0.500 x12